Diffraction record for Ac3CoO7. The X-ray diffraction stick pattern is simulated, not measured: it uses the PBE+U geometry in Alexandria and Cu Kα (weighted mean of Kα1 and Kα2).

Top 12 peaks for 2θ from 5° to 70°, most intense first:
d/Å	two_theta	I_rel	index
3.263	27.33	100	2 0 2
2.908	30.75	41	2 2 1
3.340	26.69	41	0 2 1
3.132	28.50	33	2 2 0
3.476	25.63	31	3 1 0
3.177	28.09	30	3 1 1
1.705	53.77	27	5 3 0
1.951	46.54	26	5 1 2
2.163	41.75	21	5 1 1
1.842	49.48	21	3 3 2
3.319	26.86	20	1 1 2
1.957	46.41	19	0 0 4

Structural model:
abc: 11.8182 7.3868 7.8269
angles: 90.00 90.00 90.00
Space group Cmcm (No. 63)
Unique sites:
1 Ac 0.0000 0.0000 0.0000 [4 per cell]
2 Ac 0.2045 0.3520 0.2500 [8 per cell]
3 Co 0.0000 0.5000 0.0000 [4 per cell]
4 O 0.0000 0.4229 0.2500 [4 per cell]
5 O 0.1155 0.3286 0.5413 [16 per cell]
6 O 0.1309 0.0434 0.2500 [8 per cell]